# 1
Theoretical PXRD pattern of PuIrRh3 for CuKα, from a structure optimized by DFT (PBE).
Intensities are scaled so that the largest is 100.

Peak list (10 most intense, 15 to 90 degrees two-theta, most intense first)
- 2θ 27.07, intensity 100
- 2θ 41.88, intensity 71
- 2θ 48.80, intensity 66
- 2θ 43.93, intensity 62
- 2θ 29.20, intensity 47
- 2θ 39.61, intensity 45
- 2θ 36.30, intensity 44
- 2θ 58.63, intensity 32
- 2θ 85.04, intensity 19
- 2θ 32.69, intensity 18

Crystal structure
Unit cell a=5.478 b=10.197 c=7.002 alpha=90.00 beta=90.00 gamma=90.00
Space group Imma (No. 74)
Unique sites:
Pu 0.000 0.250 0.080
Ir 0.000 0.000 0.500
Rh 0.000 0.250 0.458
Rh 0.250 0.118 0.750

***

# 2
Theoretical PXRD pattern of Pu2IrRh3 for CuKα, from a structure optimized by DFT (PBE).
Intensities are scaled so that the largest is 100.

Peak list (10 most intense, 15 to 90 degrees two-theta, most intense first)
- 2θ 39.59, intensity 100
- 2θ 33.64, intensity 40
- 2θ 64.17, intensity 33
- 2θ 33.54, intensity 20
- 2θ 41.50, intensity 19
- 2θ 39.67, intensity 18
- 2θ 60.13, intensity 16
- 2θ 70.48, intensity 15
- 2θ 70.73, intensity 15
- 2θ 84.21, intensity 10

Crystal structure
Unit cell a=5.3276 b=5.3276 c=13.1119 alpha=90.00 beta=90.00 gamma=120.00
Space group R-3m (No. 166, hexagonal axes)
Unique sites:
Pu 0.0000 0.0000 0.1253
Ir 0.0000 0.0000 0.5000
Rh 0.0000 0.5000 0.0000

***

# 3
Theoretical PXRD pattern of Pu6IrRh3 for CuKα, from a structure optimized by DFT (PBE).
Intensities are scaled so that the largest is 100.

Peak list (10 most intense, 15 to 90 degrees two-theta, most intense first)
- 2θ 35.70, intensity 100
- 2θ 32.93, intensity 63
- 2θ 33.69, intensity 57
- 2θ 36.19, intensity 55
- 2θ 26.43, intensity 54
- 2θ 37.63, intensity 51
- 2θ 27.75, intensity 47
- 2θ 35.95, intensity 45
- 2θ 31.99, intensity 44
- 2θ 29.44, intensity 41

Crystal structure
Unit cell a=8.006 b=7.554 c=7.885 alpha=90.00 beta=108.09 gamma=90.00
Space group C2/m (No. 12)
Unique sites:
Pu 0.093 0.199 0.328
Pu 0.158 0.500 0.934
Ir 0.000 0.500 0.500
Rh 0.000 0.000 0.000
Rh 0.224 0.000 0.692

***

# 4
Theoretical PXRD pattern of Pu2Si4Ir3Rh for CuKα, from a structure optimized by DFT (PBE).
Intensities are scaled so that the largest is 100.

Peak list (10 most intense, 15 to 90 degrees two-theta, most intense first)
- 2θ 35.61, intensity 100
- 2θ 34.75, intensity 88
- 2θ 43.70, intensity 64
- 2θ 31.86, intensity 44
- 2θ 57.00, intensity 44
- 2θ 51.13, intensity 33
- 2θ 30.51, intensity 32
- 2θ 69.48, intensity 27
- 2θ 74.99, intensity 24
- 2θ 28.09, intensity 23

Crystal structure
Unit cell a=4.143 b=4.143 c=9.901 alpha=90.00 beta=90.00 gamma=90.00
Space group P-4m2 (No. 115)
Unique sites:
Pu 0.000 0.500 0.244
Si 0.000 0.000 0.000
Si 0.000 0.500 0.629
Si 0.500 0.500 0.000
Ir 0.000 0.500 0.872
Ir 0.500 0.500 0.500
Rh 0.000 0.000 0.500

***

# 5
Theoretical PXRD pattern of PuZnIrRh for CuKα, from a structure optimized by DFT (PBE).
Intensities are scaled so that the largest is 100.

Peak list (9 most intense, 15 to 90 degrees two-theta, most intense first)
- 2θ 39.28, intensity 100
- 2θ 71.21, intensity 35
- 2θ 23.76, intensity 22
- 2θ 56.76, intensity 17
- 2θ 46.42, intensity 12
- 2θ 84.48, intensity 11
- 2θ 62.40, intensity 5
- 2θ 89.34, intensity 4
- 2θ 76.27, intensity 4

Crystal structure
Unit cell a=6.487 b=6.487 c=6.487 alpha=90.00 beta=90.00 gamma=90.00
Space group F-43m (No. 216)
Unique sites:
Pu 0.000 0.000 0.000
Zn 0.000 0.000 0.500
Ir 0.250 0.250 0.250
Rh 0.250 0.250 0.750

***

# 6
Theoretical PXRD pattern of Pu3IrRu for CuKα, from a structure optimized by DFT (PBE).
Intensities are scaled so that the largest is 100.

Peak list (10 most intense, 15 to 90 degrees two-theta, most intense first)
- 2θ 32.90, intensity 100
- 2θ 39.04, intensity 67
- 2θ 33.23, intensity 36
- 2θ 43.31, intensity 29
- 2θ 64.17, intensity 24
- 2θ 36.68, intensity 18
- 2θ 36.53, intensity 18
- 2θ 55.66, intensity 17
- 2θ 56.10, intensity 14
- 2θ 39.49, intensity 14

Crystal structure
Unit cell a=5.808 b=4.179 c=9.129 alpha=90.00 beta=90.14 gamma=90.00
Space group P2_1/m (No. 11)
Unique sites:
Pu 0.237 0.250 0.224
Pu 0.252 0.750 0.551
Pu 0.258 0.750 0.954
Ir 0.479 0.250 0.732
Ru 0.011 0.250 0.730

***

# 7
Theoretical PXRD pattern of Pu4Ir2Ru for CuKα, from a structure optimized by DFT (PBE).
Intensities are scaled so that the largest is 100.

Peak list (10 most intense, 15 to 90 degrees two-theta, most intense first)
- 2θ 33.70, intensity 100
- 2θ 33.10, intensity 47
- 2θ 39.61, intensity 42
- 2θ 40.09, intensity 29
- 2θ 39.91, intensity 24
- 2θ 53.22, intensity 18
- 2θ 55.73, intensity 14
- 2θ 55.35, intensity 13
- 2θ 55.03, intensity 12
- 2θ 68.83, intensity 11

Crystal structure
Unit cell a=8.404 b=8.404 c=8.577 alpha=90.00 beta=90.00 gamma=90.00
Space group I-42d (No. 122)
Unique sites:
Pu 0.071 0.684 0.445
Ir 0.122 0.750 0.125
Ru 0.000 0.000 0.500